The following is a calculated powder X-ray diffraction pattern of Fe2B2PbO6. It was derived from the PBE+U geometry in Alexandria, using CuKα.
Intensities are scaled so that the largest is 100.

Main lines, low angle first (5 to 70 degrees two-theta):
d [Å]  I (rel.)  h k l
4.221  100.0  0 1 1
3.421  73.0  1 0 1
3.311  60.5  1 1 -1
3.105  70.3  0 1 -1
2.798  63.8  1 1 2
2.599  49.2  1 2 1

Structural model:
a b c (Å): 5.2186 5.2340 6.5110
angles (deg): 73.09 88.20 60.39
Space group P-1 (No. 2)
One atom of each set of equivalent atoms:
Fe 0.2176 0.0483 0.3527 [2 per cell]
B 0.1543 0.2610 0.7313 [2 per cell]
Pb 0.5000 0.5000 0.0000 [1 per cell]
O 0.0962 0.4937 0.2351 [2 per cell]
O 0.1358 0.0271 0.6784 [2 per cell]
O 0.4302 0.2343 0.7520 [2 per cell]